# 1
# Cs3Ac3RuO8
Theoretical XRD peak list, Cu Kα X-rays. Input: a crystal structure in Alexandria, relaxed with PBE.
Neutral-atom scattering factors, no anomalous dispersion.

Main lines, by intensity (2θ = 10–90°):
2θ/deg, I_rel
32.6, 100
29.0, 93
25.5, 48
12.7, 40
44.6, 37
56.0, 35

Atomic structure:
```
15
Lattice="3.719 2.147 6.975 -3.719 2.147 6.975 0.000 -4.295 6.975" Properties=species:S:1:pos:R:3 pbc="T T T"
Cs -1.860 -1.074 6.975
Cs -1.860 1.074 13.949
Cs 0.000 2.147 6.975
Ac -3.719 0.000 10.462
Ac -1.860 1.074 3.487
Ac 1.860 1.074 3.487
Ru 0.000 0.000 10.462
O 0.000 0.000 4.717
O -1.601 -0.924 11.543
O 0.000 -1.849 9.381
O -1.601 0.924 9.381
O 1.601 -0.924 11.543
O 0.000 1.849 11.543
O 1.601 0.924 9.381
O 0.000 0.000 16.207
```

# 2
# Cs2AcSO6
Theoretical XRD peak list, Cu Kα X-rays. Input: a crystal structure in Alexandria, relaxed with PBE.
Neutral-atom scattering factors, no anomalous dispersion.

Main lines, by intensity (2θ = 10–90°):
2θ/deg, I_rel
21.1, 100
26.6, 89
34.2, 47
15.2, 42
43.8, 39
33.1, 33

Atomic structure:
```
10
Lattice="6.710 0.000 0.000 -3.355 5.811 0.000 0.000 0.000 6.119" Properties=species:S:1:pos:R:3 pbc="T T T"
Cs 0.000 3.874 0.659
Cs 3.355 1.937 5.460
Ac 0.000 0.000 3.060
S 0.000 0.000 0.000
O 0.000 1.383 5.132
O -2.157 5.119 5.132
O 1.198 0.692 0.987
O 2.157 5.119 5.132
O 5.512 0.692 0.987
O 3.355 4.428 0.987
```

Q: Which formula does entry 1 have?
A: Cs3Ac3RuO8